[1]
This entry pairs a crystal structure of AcMg2CuAg2 with its computed XRD peak list. Radiation: Cu Ka. Structure: a DFT-relaxed cell (GGA-PBE, Alexandria).
Peak positions follow from Bragg's law for the DFT cell and can differ from measured ones.

Main lines, most intense first (2θ from 10° to 90°):
| Position (°2θ) | intensity |
| --- | --- |
| 24.43 | 100 |
| 34.82 | 60 |
| 28.52 | 60 |
| 46.78 | 34 |
| 39.26 | 34 |
| 45.61 | 34 |

Atomic structure:
```
6
Lattice="-2.577 2.577 5.908 2.577 -2.577 5.908 2.577 2.577 -5.908" Properties=species:S:1:pos:R:3 pbc="T T T"
Ac 0.000 0.000 0.000
Mg 2.577 0.000 2.954
Mg 0.000 2.577 2.954
Cu 0.000 0.000 5.908
Ag 0.000 0.000 3.437
Ag 0.000 0.000 8.379
```

[2]
This entry pairs a crystal structure of AcCuAg2O4 with its computed XRD peak list. Radiation: Cu Ka. Structure: a DFT-relaxed cell (GGA-PBE, Alexandria).
Peak positions follow from Bragg's law for the DFT cell and can differ from measured ones.

Main lines, most intense first (2θ from 10° to 90°):
| Position (°2θ) | intensity |
| --- | --- |
| 34.75 | 100 |
| 29.82 | 63 |
| 56.16 | 53 |
| 42.67 | 32 |
| 20.14 | 29 |
| 36.25 | 18 |

Atomic structure:
```
8
Lattice="-2.996 2.996 3.255 2.996 -2.996 3.255 2.996 2.996 -3.255" Properties=species:S:1:pos:R:3 pbc="T T T"
Ac 0.000 0.000 0.000
Cu 0.000 0.000 3.255
Ag 2.996 0.000 1.627
Ag 0.000 2.996 1.627
O 1.871 1.871 -1.266
O 1.125 1.125 1.989
O 1.125 -1.125 4.521
O -1.125 1.125 4.521
```

[3]
This entry pairs a crystal structure of Ac2CuAgPd6 with its computed XRD peak list. Radiation: Cu Ka. Structure: a DFT-relaxed cell (GGA-PBE, Alexandria).
Peak positions follow from Bragg's law for the DFT cell and can differ from measured ones.

Main lines, most intense first (2θ from 10° to 90°):
| Position (°2θ) | intensity |
| --- | --- |
| 27.83 | 100 |
| 38.63 | 98 |
| 38.97 | 96 |
| 41.47 | 76 |
| 28.26 | 73 |
| 39.62 | 70 |

Atomic structure:
```
10
Lattice="5.453 0.000 0.000 2.721 6.166 0.000 2.726 0.198 6.349" Properties=species:S:1:pos:R:3 pbc="T T T"
Ac 1.361 1.413 1.426
Ac 9.540 4.952 4.924
Cu 4.090 0.099 3.175
Ag 4.087 3.083 0.000
Pd 2.728 1.529 4.796
Pd 4.092 2.697 2.720
Pd 5.459 4.838 1.544
Pd 5.441 1.526 4.806
Pd 6.809 3.668 3.630
Pd 8.173 4.836 1.553
```

[4]
This entry pairs a crystal structure of Ac2DyAg4 with its computed XRD peak list. Radiation: Cu Ka. Structure: a DFT-relaxed cell (GGA-PBE, Alexandria).
Peak positions follow from Bragg's law for the DFT cell and can differ from measured ones.

Main lines, most intense first (2θ from 10° to 90°):
| Position (°2θ) | intensity |
| --- | --- |
| 31.93 | 100 |
| 35.34 | 100 |
| 25.70 | 57 |
| 59.13 | 44 |
| 45.78 | 37 |
| 26.21 | 34 |

Atomic structure:
```
7
Lattice="-2.803 2.803 6.615 2.803 -2.803 6.615 2.803 2.803 -6.615" Properties=species:S:1:pos:R:3 pbc="T T T"
Ac 0.000 0.000 2.847
Ac 0.000 0.000 10.382
Dy 0.000 0.000 6.615
Ag 2.803 0.000 1.423
Ag 2.803 0.000 5.192
Ag 0.000 2.803 1.423
Ag 0.000 2.803 5.192
```

[5]
This entry pairs a crystal structure of AcEuDyAg with its computed XRD peak list. Radiation: Cu Ka. Structure: a DFT-relaxed cell (GGA-PBE, Alexandria).
Peak positions follow from Bragg's law for the DFT cell and can differ from measured ones.

Main lines, most intense first (2θ from 10° to 90°):
| Position (°2θ) | intensity |
| --- | --- |
| 31.73 | 100 |
| 56.52 | 39 |
| 45.48 | 19 |
| 75.35 | 17 |
| 66.28 | 12 |
| 19.27 | 6 |

Atomic structure:
```
4
Lattice="0.000 3.989 3.989 3.989 0.000 3.989 3.989 3.989 0.000" Properties=species:S:1:pos:R:3 pbc="T T T"
Ac 0.000 0.000 0.000
Eu 1.994 1.994 1.994
Dy 5.983 5.983 5.983
Ag 3.989 3.989 3.989
```

[6]
This entry pairs a crystal structure of AcDyInAg with its computed XRD peak list. Radiation: Cu Ka. Structure: a DFT-relaxed cell (GGA-PBE, Alexandria).
Peak positions follow from Bragg's law for the DFT cell and can differ from measured ones.

Main lines, most intense first (2θ from 10° to 90°):
| Position (°2θ) | intensity |
| --- | --- |
| 32.46 | 100 |
| 33.44 | 54 |
| 59.16 | 36 |
| 48.01 | 23 |
| 57.28 | 15 |
| 80.07 | 11 |

Atomic structure:
```
4
Lattice="3.790 0.000 0.000 0.000 3.790 0.000 0.000 0.000 8.044" Properties=species:S:1:pos:R:3 pbc="T T T"
Ac 0.000 0.000 0.000
Dy 0.000 0.000 3.839
In 1.895 1.895 5.735
Ag 1.895 1.895 2.283
```